No. 1
# KFeAs2Br
Computed powder X-ray diffraction pattern, a wavelength of 1.5418 Å. Input: a crystal structure in Alexandria, relaxed with PBE.
Intensities are scaled so that the largest is 100.

Principal peaks in the range 2θ = 10–90°, in order of rising 2θ:
- 12.8°, 6.911 Å, intensity 35.0, hkl 0 0 1
- 19.7°, 4.503 Å, intensity 32.5, hkl 1 0 0
- 25.8°, 3.456 Å, intensity 96.3, hkl 0 0 2
- 30.9°, 2.892 Å, intensity 100.0, hkl 1 1 1
- 40.0°, 2.252 Å, intensity 57.6, hkl 2 0 0
- 48.2°, 1.887 Å, intensity 65.9, hkl 2 0 2
- 48.8°, 1.867 Å, intensity 27.1, hkl 1 1 3
- 64.4°, 1.446 Å, intensity 26.7, hkl 2 2 2

Structural model:
```
data_KFeAs2Br
_chemical_formula_sum 'K1 Fe1 As2 Br1'
_symmetry_space_group_name_H-M 'P 4/m m m'
_symmetry_Int_Tables_number 123
_symmetry_space_group_name_Hall '-P 4 2'
_cell_length_a 4.5034
_cell_length_b 4.5034
_cell_length_c 6.9113
_cell_angle_alpha 90.00
_cell_angle_beta 90.00
_cell_angle_gamma 90.00
loop_
_atom_site_label
_atom_site_fract_x
_atom_site_fract_y
_atom_site_fract_z
K1 0.0000 0.0000 0.0000
Fe1 0.5000 0.5000 0.5000
As1 0.0000 0.5000 0.5000
Br1 0.5000 0.5000 0.0000
```

No. 2
# ScTaTcNi
Computed powder X-ray diffraction pattern, a wavelength of 1.5418 Å. Input: a crystal structure in Alexandria, relaxed with PBE.
Intensities are scaled so that the largest is 100.

Principal peaks in the range 2θ = 10–90°, in order of rising 2θ:
- 24.3°, 3.656 Å, intensity 30.8, hkl 1 1 1
- 40.3°, 2.239 Å, intensity 100.0, hkl 2 2 0
- 47.6°, 1.909 Å, intensity 16.3, hkl 3 1 1
- 58.3°, 1.583 Å, intensity 16.5, hkl 4 0 0
- 64.1°, 1.453 Å, intensity 7.0, hkl 3 3 1
- 73.2°, 1.293 Å, intensity 32.8, hkl 4 2 2
- 78.5°, 1.219 Å, intensity 5.4, hkl 5 1 1
- 87.0°, 1.119 Å, intensity 10.6, hkl 4 4 0

Structural model:
```
data_ScTaTcNi
_chemical_formula_sum 'Sc4 Ta4 Tc4 Ni4'
_symmetry_space_group_name_H-M 'F -4 3 m'
_symmetry_Int_Tables_number 216
_symmetry_space_group_name_Hall 'F -4 2 3'
_cell_length_a 6.3326
_cell_length_b 6.3326
_cell_length_c 6.3326
_cell_angle_alpha 90.00
_cell_angle_beta 90.00
_cell_angle_gamma 90.00
loop_
_atom_site_label
_atom_site_fract_x
_atom_site_fract_y
_atom_site_fract_z
Sc1 0.0000 0.0000 0.0000
Ta1 0.0000 0.0000 0.5000
Tc1 0.2500 0.2500 0.2500
Ni1 0.2500 0.2500 0.7500
```